CrBiClO4: theoretical XRD peak list (CuKα), based on a PBE+U-relaxed structure.

The 10 most intense peaks (2θ = 15–90°), by intensity:
(0 2 0), 3.670 Å, I = 100
(2 0 0), 4.953 Å, I = 71
(3 1 -1), 3.027 Å, I = 70
(3 1 -2), 2.549 Å, I = 66
(1 1 -1), 4.787 Å, I = 63
(1 1 -2), 3.096 Å, I = 57
(2 0 1), 3.541 Å, I = 57
(1 1 2), 2.707 Å, I = 32
(4 0 -3), 1.913 Å, I = 28
(3 3 -1), 1.970 Å, I = 28

a = 10.266 Å, b = 7.341 Å, c = 6.847 Å
α = 90.00°, β = 105.23°, γ = 90.00°
Space group C2/m (No. 12)
Asymmetric unit:
Cr 0.141 0.000 0.272 [4 per cell]
Bi 0.216 0.500 0.129 [4 per cell]
Cl 0.016 0.500 0.763 [4 per cell]
O 0.022 0.000 0.754 [4 per cell]
O 0.187 0.181 0.151 [8 per cell]
O 0.222 0.000 0.515 [4 per cell]